The following is a calculated X-ray powder pattern of NaCdRh. It was derived from a DFT-relaxed cell (PBE, Alexandria), using Cu Kα X-rays.
Peak positions follow from Bragg's law for the DFT cell and can differ from measured ones.

Top 12 peaks for 10° ≤ 2θ ≤ 90°, by angle:
16.6 deg, I 100, hkl 1 0 0; 18.1 deg, I 55, hkl 1 0 1; 33.2 deg, I 17, hkl 1 0 4; 33.6 deg, I 34, hkl 2 0 0; 36.3 deg, I 74, hkl 1 1 3; 39.8 deg, I 33, hkl 1 0 5; 40.2 deg, I 54, hkl 2 0 3; 43.4 deg, I 14, hkl 0 0 6; 45.6 deg, I 13, hkl 2 1 1; 46.8 deg, I 21, hkl 1 1 5; 47.4 deg, I 42, hkl 2 1 2; 70.4 deg, I 17, hkl 2 1 7

Atomic structure:
Unit cell a=6.1535 b=6.1535 c=12.5181 alpha=90.00 beta=90.00 gamma=120.00
Space group P6_222 (No. 180)
Asymmetric unit:
Na: 0.0000 0.0000 0.0000
Na: 0.0000 0.5000 0.1667
Cd: 0.0000 0.5000 0.4699
Rh: 0.2373 0.6187 0.6667